(1)
# Ho4Ag3Hg
Theoretical powder XRD pattern, Cu Kα. Input: a crystal structure in Alexandria, relaxed with PBE.

Principal peaks in the range 2θ from 5° to 70°, by angle:
| (hkl) | Position (°2θ) | d/Å | I/Imax |
| --- | --- | --- | --- |
| 1 1 1 | 31.68 | 2.825 | 100 |
| 0 0 4 | 31.98 | 2.799 | 27 |
| 1 0 3 | 34.32 | 2.613 | 25 |
| 0 2 0 | 37.14 | 2.421 | 71 |
| 1 1 3 | 39.18 | 2.299 | 58 |
| 2 0 0 | 49.82 | 1.830 | 32 |
| 1 2 3 | 51.47 | 1.776 | 22 |
| 1 0 7 | 63.48 | 1.465 | 14 |
| 1 3 1 | 63.59 | 1.463 | 13 |
| 2 2 0 | 63.75 | 1.460 | 29 |

Crystal structure
```
data_Ho4Ag3Hg
_space_group_name_H-M_alt 'P m m 2'
_space_group_IT_number 25
_space_group_name_Hall 'P 2 -2'
_cell_length_a 3.661
_cell_length_b 4.838
_cell_length_c 11.194
_cell_angle_alpha 90.00
_cell_angle_beta 90.00
_cell_angle_gamma 90.00
loop_
_atom_site_label
_atom_site_type_symbol
_atom_site_fract_x
_atom_site_fract_y
_atom_site_fract_z
Ho1 Ho 0.000 0.000 0.000
Ho2 Ho 0.000 0.500 0.282
Ho3 Ho 0.500 0.000 0.490
Ho4 Ho 0.500 0.500 0.788
Ag1 Ag 0.000 0.500 0.556
Ag2 Ag 0.500 0.000 0.220
Ag3 Ag 0.500 0.500 0.061
Hg1 Hg 0.000 0.000 0.723
```



(2)
# BeAl4Rh
Theoretical powder XRD pattern, Cu Kα. Input: a crystal structure in Alexandria, relaxed with PBE.

Principal peaks in the range 2θ from 5° to 70°, by angle:
| (hkl) | Position (°2θ) | d/Å | I/Imax |
| --- | --- | --- | --- |
| 1 1 1 | 21.63 | 4.109 | 47 |
| 2 0 0 | 25.02 | 3.559 | 44 |
| 2 2 0 | 35.68 | 2.516 | 44 |
| 3 1 1 | 42.11 | 2.146 | 100 |
| 2 2 2 | 44.08 | 2.055 | 28 |
| 3 3 1 | 56.35 | 1.633 | 10 |
| 4 2 0 | 57.95 | 1.591 | 17 |
| 4 2 2 | 64.10 | 1.453 | 15 |
| 5 1 1 | 68.50 | 1.370 | 31 |

Crystal structure
```
data_BeAl4Rh
_space_group_name_H-M_alt 'F -4 3 m'
_space_group_IT_number 216
_space_group_name_Hall 'F -4 2 3'
_cell_length_a 7.117
_cell_length_b 7.117
_cell_length_c 7.117
_cell_angle_alpha 90.00
_cell_angle_beta 90.00
_cell_angle_gamma 90.00
loop_
_atom_site_label
_atom_site_type_symbol
_atom_site_fract_x
_atom_site_fract_y
_atom_site_fract_z
Be1 Be 0.000 0.000 0.000
Al1 Al 0.125 0.125 0.375
Rh1 Rh 0.250 0.250 0.750
```



(3)
# LiAlH6Pb
Theoretical powder XRD pattern, Cu Kα. Input: a crystal structure in Alexandria, relaxed with PBE.

Principal peaks in the range 2θ from 5° to 70°, by angle:
| (hkl) | Position (°2θ) | d/Å | I/Imax |
| --- | --- | --- | --- |
| 0 0 1 | 18.11 | 4.899 | 26 |
| 1 0 0 | 21.15 | 4.200 | 69 |
| 1 0 1 | 27.98 | 3.189 | 100 |
| 1 1 0 | 37.07 | 2.425 | 27 |
| 1 1 1 | 41.55 | 2.173 | 22 |
| 1 0 2 | 42.73 | 2.116 | 24 |
| 2 0 0 | 43.07 | 2.100 | 12 |
| 2 0 1 | 47.08 | 1.930 | 25 |
| 2 -1 2 | 53.14 | 1.723 | 20 |
| 3 -1 1 | 61.39 | 1.510 | 23 |

Crystal structure
```
data_LiAlH6Pb
_space_group_name_H-M_alt 'P 3 1 2'
_space_group_IT_number 149
_space_group_name_Hall 'P 3 2'
_cell_length_a 4.8500
_cell_length_b 4.8500
_cell_length_c 4.8994
_cell_angle_alpha 90.00
_cell_angle_beta 90.00
_cell_angle_gamma 120.00
loop_
_atom_site_label
_atom_site_type_symbol
_atom_site_fract_x
_atom_site_fract_y
_atom_site_fract_z
Li1 Li 0.0000 0.0000 0.0000
Al1 Al 0.3333 0.6667 0.0000
H1 H 0.0518 0.3609 0.2083
Pb1 Pb 0.6667 0.3333 0.5000
```



(4)
# K2Cu2Te5
Theoretical powder XRD pattern, Cu Kα. Input: a crystal structure in Alexandria, relaxed with PBE.

Principal peaks in the range 2θ from 5° to 70°, by angle:
| (hkl) | Position (°2θ) | d/Å | I/Imax |
| --- | --- | --- | --- |
| 0 0 2 | 14.49 | 6.115 | 55 |
| 0 2 1 | 24.10 | 3.692 | 25 |
| 1 1 3 | 25.87 | 3.444 | 52 |
| 3 1 1 | 26.85 | 3.321 | 50 |
| 0 0 4 | 29.21 | 3.057 | 48 |
| 3 1 2 | 29.73 | 3.005 | 70 |
| 2 2 2 | 31.42 | 2.848 | 100 |
| 1 3 0 | 35.60 | 2.522 | 33 |
| 5 1 3 | 46.66 | 1.947 | 54 |
| 3 3 3 | 47.92 | 1.898 | 23 |

Crystal structure
```
data_K2Cu2Te5
_space_group_name_H-M_alt 'C m c m'
_space_group_IT_number 63
_space_group_name_Hall '-C 2c 2'
_cell_length_a 11.562
_cell_length_b 7.746
_cell_length_c 12.229
_cell_angle_alpha 90.00
_cell_angle_beta 90.00
_cell_angle_gamma 90.00
loop_
_atom_site_label
_atom_site_type_symbol
_atom_site_fract_x
_atom_site_fract_y
_atom_site_fract_z
K1 K 0.205 0.000 0.000
Cu1 Cu 0.111 0.428 0.250
Te1 Te 0.000 0.019 0.750
Te2 Te 0.000 0.347 0.067
Te3 Te 0.192 0.253 0.750
```



(5)
# CuRe2Te
Theoretical powder XRD pattern, Cu Kα. Input: a crystal structure in Alexandria, relaxed with PBE.

Principal peaks in the range 2θ from 5° to 70°, by angle:
| (hkl) | Position (°2θ) | d/Å | I/Imax |
| --- | --- | --- | --- |
| 0 0 1 | 17.94 | 4.945 | 22 |
| 2 0 -1 | 24.95 | 3.569 | 10 |
| 1 1 1 | 36.93 | 2.434 | 100 |
| 2 0 -2 | 38.74 | 2.324 | 41 |
| 4 0 0 | 41.88 | 2.157 | 36 |
| 3 1 -1 | 44.77 | 2.024 | 59 |
| 2 0 2 | 45.30 | 2.002 | 25 |
| 0 2 0 | 60.40 | 1.533 | 12 |
| 1 1 -3 | 63.33 | 1.468 | 16 |
| 5 1 1 | 67.80 | 1.382 | 17 |

Crystal structure
```
data_CuRe2Te
_space_group_name_H-M_alt 'C 1 m 1'
_space_group_IT_number 8
_space_group_name_Hall 'C -2y'
_cell_length_a 8.758
_cell_length_b 3.065
_cell_length_c 5.020
_cell_angle_alpha 90.00
_cell_angle_beta 99.89
_cell_angle_gamma 90.00
loop_
_atom_site_label
_atom_site_type_symbol
_atom_site_fract_x
_atom_site_fract_y
_atom_site_fract_z
Cu1 Cu 0.000 0.000 0.000
Re1 Re 0.015 0.500 0.570
Re2 Re 0.254 0.000 0.778
Te1 Te 0.262 0.500 0.252
```



(6)
# Ta7Ni
Theoretical powder XRD pattern, Cu Kα. Input: a crystal structure in Alexandria, relaxed with PBE.

Principal peaks in the range 2θ from 5° to 70°, by angle:
| (hkl) | Position (°2θ) | d/Å | I/Imax |
| --- | --- | --- | --- |
| 1 1 1 | 18.52 | 4.790 | 4 |
| 2 0 0 | 21.42 | 4.149 | 2 |
| 2 2 0 | 30.47 | 2.934 | 2 |
| 3 1 1 | 35.90 | 2.502 | 3 |
| 2 2 2 | 37.55 | 2.395 | 100 |
| 4 0 0 | 43.63 | 2.074 | 49 |
| 3 3 1 | 47.78 | 1.904 | 1 |
| 4 2 0 | 49.10 | 1.855 | 1 |
| 5 1 1 | 57.74 | 1.597 | 1 |
| 4 4 0 | 63.42 | 1.467 | 33 |

Crystal structure
```
data_Ta7Ni
_space_group_name_H-M_alt 'F m -3 m'
_space_group_IT_number 225
_space_group_name_Hall '-F 4 2 3'
_cell_length_a 8.297
_cell_length_b 8.297
_cell_length_c 8.297
_cell_angle_alpha 90.00
_cell_angle_beta 90.00
_cell_angle_gamma 90.00
loop_
_atom_site_label
_atom_site_type_symbol
_atom_site_fract_x
_atom_site_fract_y
_atom_site_fract_z
Ta1 Ta 0.000 0.000 0.000
Ta2 Ta 0.000 0.250 0.250
Ni1 Ni 0.000 0.000 0.500
```



(7)
# PuBeGa3
Theoretical powder XRD pattern, Cu Kα. Input: a crystal structure in Alexandria, relaxed with PBE.

Principal peaks in the range 2θ from 5° to 70°, by angle:
| (hkl) | Position (°2θ) | d/Å | I/Imax |
| --- | --- | --- | --- |
| 1 1 0 | 23.36 | 3.807 | 49 |
| 1 1 -2 | 34.16 | 2.625 | 45 |
| 0 0 2 | 35.03 | 2.562 | 16 |
| 2 0 0 | 35.57 | 2.524 | 100 |
| 2 2 -1 | 44.17 | 2.050 | 34 |
| 1 1 2 | 49.73 | 1.833 | 22 |
| 1 3 -1 | 50.56 | 1.805 | 13 |
| 1 3 1 | 57.00 | 1.616 | 21 |
| 2 2 1 | 57.58 | 1.601 | 16 |
| 1 3 -3 | 68.68 | 1.367 | 17 |

Crystal structure
```
data_PuBeGa3
_space_group_name_H-M_alt 'C 1 m 1'
_space_group_IT_number 8
_space_group_name_Hall 'C -2y'
_cell_length_a 5.798
_cell_length_b 5.800
_cell_length_c 5.886
_cell_angle_alpha 90.00
_cell_angle_beta 119.48
_cell_angle_gamma 90.00
loop_
_atom_site_label
_atom_site_type_symbol
_atom_site_fract_x
_atom_site_fract_y
_atom_site_fract_z
Pu1 Pu 0.000 0.000 0.000
Be1 Be 0.123 0.500 0.247
Ga1 Ga 0.404 0.000 0.808
Ga2 Ga 0.491 0.250 0.483
```



(8)
# Li5CaTl4
Theoretical powder XRD pattern, Cu Kα. Input: a crystal structure in Alexandria, relaxed with PBE.

Principal peaks in the range 2θ from 5° to 70°, by angle:
| (hkl) | Position (°2θ) | d/Å | I/Imax |
| --- | --- | --- | --- |
| 0 0 1 | 5.22 | 16.925 | 59 |
| 1 0 0 | 24.38 | 3.651 | 100 |
| 0 0 5 | 26.33 | 3.385 | 41 |
| 1 1 0 | 34.75 | 2.582 | 46 |
| 1 0 5 | 36.19 | 2.482 | 80 |
| 1 1 5 | 44.12 | 2.053 | 42 |
| 2 0 0 | 49.96 | 1.825 | 17 |
| 2 1 0 | 56.35 | 1.633 | 21 |
| 2 0 5 | 57.35 | 1.607 | 19 |
| 2 1 5 | 63.23 | 1.471 | 32 |

Crystal structure
```
data_Li5CaTl4
_space_group_name_H-M_alt 'P 4/m m m'
_space_group_IT_number 123
_space_group_name_Hall '-P 4 2'
_cell_length_a 3.651
_cell_length_b 3.651
_cell_length_c 16.925
_cell_angle_alpha 90.00
_cell_angle_beta 90.00
_cell_angle_gamma 90.00
loop_
_atom_site_label
_atom_site_type_symbol
_atom_site_fract_x
_atom_site_fract_y
_atom_site_fract_z
Li1 Li 0.000 0.000 0.000
Li2 Li 0.000 0.000 0.192
Li3 Li 0.000 0.000 0.373
Ca1 Ca 0.500 0.500 0.500
Tl1 Tl 0.500 0.500 0.099
Tl2 Tl 0.500 0.500 0.294
```